Entry 1:
Sc2Zn5Cu3: computed powder diffractogram (λ = 1.5418 Å (Cu Kα)), based on the PBE geometry in Alexandria.
Intensities are scaled so that the largest is 100.

Most intense lines, 2θ from 10° to 90°, by intensity:
2θ = 42.56°, I 100
2θ = 36.89°, I 100
2θ = 37.35°, I 94
2θ = 40.21°, I 69
2θ = 41.30°, I 48
2θ = 50.42°, I 43

Structural model:
Unit cell a=11.668 b=11.668 c=6.457 alpha=90.00 beta=90.00 gamma=159.02
Fractional positions:
Sc (0.015, 0.985, 0.500)
Sc (0.325, 0.675, 0.583)
Sc (0.675, 0.325, 0.083)
Sc (0.985, 0.015, 0.000)
Zn (0.108, 0.892, 0.823)
Zn (0.200, 0.800, 0.422)
Zn (0.218, 0.782, 0.828)
Zn (0.378, 0.622, 0.004)
Zn (0.450, 0.550, 0.695)
Zn (0.550, 0.450, 0.195)
Zn (0.622, 0.378, 0.504)
Zn (0.782, 0.218, 0.328)
Zn (0.800, 0.200, 0.922)
Zn (0.892, 0.108, 0.323)
Cu (0.107, 0.893, 0.223)
Cu (0.277, 0.723, 0.140)
Cu (0.447, 0.553, 0.301)
Cu (0.553, 0.447, 0.801)
Cu (0.723, 0.277, 0.640)
Cu (0.893, 0.107, 0.723)

=====

Entry 2:
NdSm2Er4Sc: computed powder diffractogram (λ = 1.5418 Å (Cu Kα)), based on the PBE geometry in Alexandria.
Intensities are scaled so that the largest is 100.

Most intense lines, 2θ from 10° to 90°, by intensity:
2θ = 31.06°, I 100
2θ = 35.97°, I 34
2θ = 51.88°, I 30
2θ = 61.60°, I 21
2θ = 36.11°, I 17
2θ = 61.81°, I 14

Structural model:
Unit cell a=7.047 b=7.047 c=12.200 alpha=106.64 beta=106.64 gamma=60.23
Fractional positions:
Nd (0.000, 0.000, 0.000)
Nd (0.000, 0.000, 0.500)
Sm (0.000, 0.500, 0.000)
Sm (0.500, 0.000, 0.000)
Sm (0.500, 0.500, 0.000)
Sm (0.500, 0.500, 0.500)
Er (0.249, 0.249, 0.744)
Er (0.249, 0.748, 0.747)
Er (0.251, 0.251, 0.256)
Er (0.252, 0.751, 0.253)
Er (0.748, 0.249, 0.747)
Er (0.749, 0.749, 0.744)
Er (0.751, 0.252, 0.253)
Er (0.751, 0.751, 0.256)
Sc (0.000, 0.500, 0.500)
Sc (0.500, 0.000, 0.500)

=====

Entry 3:
BaSrPtO3: computed powder diffractogram (λ = 1.5418 Å (Cu Kα)), based on the PBE geometry in Alexandria.
Intensities are scaled so that the largest is 100.

Most intense lines, 2θ from 10° to 90°, by intensity:
2θ = 32.16°, I 100
2θ = 30.90°, I 85
2θ = 30.05°, I 76
2θ = 13.42°, I 39
2θ = 53.07°, I 35
2θ = 55.51°, I 33

Structural model:
Unit cell a=7.162 b=7.162 c=7.685 alpha=105.55 beta=105.55 gamma=32.74
Fractional positions:
Ba (0.145, 0.145, 0.075)
Ba (0.855, 0.855, 0.925)
Sr (0.148, 0.148, 0.572)
Sr (0.852, 0.852, 0.428)
Pt (0.499, 0.499, 0.748)
Pt (0.501, 0.501, 0.252)
O (0.001, 0.001, 0.707)
O (0.340, 0.340, 0.661)
O (0.343, 0.343, 0.180)
O (0.657, 0.657, 0.820)
O (0.660, 0.660, 0.339)
O (0.999, 0.999, 0.293)

=====

Entry 4:
BeCoW: computed powder diffractogram (λ = 1.5418 Å (Cu Kα)), based on the PBE geometry in Alexandria.
Intensities are scaled so that the largest is 100.

Most intense lines, 2θ from 10° to 90°, by intensity:
2θ = 43.57°, I 100
2θ = 26.46°, I 92
2θ = 46.71°, I 52
2θ = 84.50°, I 30
2θ = 65.78°, I 29
2θ = 89.82°, I 16

Structural model:
Unit cell a=3.889 b=3.889 c=2.639 alpha=90.00 beta=90.00 gamma=120.00
Fractional positions:
Be (0.000, 0.000, 0.000)
Co (0.333, 0.667, 0.000)
W (0.667, 0.333, 0.500)

=====

Entry 5:
Cs2CdF6: computed powder diffractogram (λ = 1.5418 Å (Cu Kα)), based on the PBE geometry in Alexandria.
Intensities are scaled so that the largest is 100.

Most intense lines, 2θ from 10° to 90°, by intensity:
2θ = 23.22°, I 100
2θ = 27.23°, I 98
2θ = 36.08°, I 71
2θ = 30.24°, I 37
2θ = 45.79°, I 30
2θ = 41.14°, I 29

Structural model:
Unit cell a=6.550 b=6.550 c=10.387 alpha=90.00 beta=90.00 gamma=120.00
Fractional positions:
Cs (0.000, 0.000, 0.000)
Cs (0.000, 0.000, 0.500)
Cs (0.333, 0.667, 0.270)
Cs (0.667, 0.333, 0.770)
Cd (0.333, 0.667, 0.659)
Cd (0.667, 0.333, 0.159)
F (0.034, 0.517, 0.538)
F (0.175, 0.350, 0.765)
F (0.175, 0.825, 0.765)
F (0.350, 0.175, 0.265)
F (0.483, 0.517, 0.538)
F (0.483, 0.966, 0.538)
F (0.517, 0.034, 0.038)
F (0.517, 0.483, 0.038)
F (0.650, 0.825, 0.765)
F (0.825, 0.175, 0.265)
F (0.825, 0.650, 0.265)
F (0.966, 0.483, 0.038)